(1)
Starting from the PBE geometry in Alexandria, the PXRD pattern of SrFeI was calculated for Cu Kα (λ = 1.5418 Å).

Peak list (6 most intense, 2θ from 10° to 90°, most intense first)
31.2 deg, rel. 100; 41.7 deg, rel. 87; 33.2 deg, rel. 67; 23.9 deg, rel. 54; 55.2 deg, rel. 28; 53.0 deg, rel. 27

Crystal structure
Unit cell a=10.6888 b=10.6888 c=10.6888 alpha=23.36 beta=23.36 gamma=23.36
Fractional positions:
Sr 0.0000 0.0000 0.0000
Sr 0.1603 0.1603 0.1603
Fe 0.5719 0.5719 0.5719
Fe 0.8916 0.8916 0.8916
I 0.2676 0.2676 0.2676
I 0.4090 0.4090 0.4090

(2)
Starting from the PBE geometry in Alexandria, the PXRD pattern of TaFe2I8 was calculated for Cu Kα (λ = 1.5418 Å).

Peak list (6 most intense, 2θ from 10° to 90°, most intense first)
12.2 deg, rel. 100; 24.8 deg, rel. 57; 29.8 deg, rel. 55; 14.5 deg, rel. 47; 30.8 deg, rel. 36; 24.3 deg, rel. 32

Crystal structure
Unit cell a=7.6586 b=7.6586 c=9.1953 alpha=98.85 beta=98.85 gamma=105.37
Fractional positions:
Ta 0.0000 0.0000 0.0000
Fe 0.0029 0.0029 0.3661
Fe 0.9971 0.9971 0.6339
I 0.1732 0.8211 0.7931
I 0.1789 0.8268 0.2069
I 0.2585 0.2585 0.5696
I 0.3019 0.3019 0.0742
I 0.6981 0.6981 0.9258
I 0.7415 0.7415 0.4304
I 0.8211 0.1732 0.7931
I 0.8268 0.1789 0.2069

(3)
Starting from the PBE geometry in Alexandria, the PXRD pattern of TaFe2I was calculated for Cu Kα (λ = 1.5418 Å).

Peak list (6 most intense, 2θ from 10° to 90°, most intense first)
40.3 deg, rel. 100; 73.3 deg, rel. 33; 28.2 deg, rel. 25; 58.3 deg, rel. 17; 87.1 deg, rel. 11; 66.0 deg, rel. 10

Crystal structure
Unit cell a=4.4752 b=4.4752 c=4.4752 alpha=60.00 beta=60.00 gamma=60.00
Fractional positions:
Ta 0.0000 0.0000 0.0000
Fe 0.2500 0.2500 0.2500
Fe 0.7500 0.7500 0.7500
I 0.5000 0.5000 0.5000

(4)
Starting from the PBE geometry in Alexandria, the PXRD pattern of FeTeI5 was calculated for Cu Kα (λ = 1.5418 Å).

Peak list (6 most intense, 2θ from 10° to 90°, most intense first)
15.5 deg, rel. 100; 17.5 deg, rel. 79; 24.5 deg, rel. 75; 41.6 deg, rel. 73; 18.5 deg, rel. 49; 28.3 deg, rel. 46

Crystal structure
Unit cell a=11.1845 b=11.4543 c=11.9552 alpha=90.00 beta=90.00 gamma=90.00
Fractional positions:
Fe 0.1177 0.2500 0.1132
Fe 0.3823 0.7500 0.6132
Fe 0.6177 0.2500 0.3868
Fe 0.8823 0.7500 0.8868
Te 0.1620 0.7500 0.2204
Te 0.3380 0.2500 0.7204
Te 0.6620 0.7500 0.2796
Te 0.8380 0.2500 0.7796
I 0.0930 0.7500 0.9761
I 0.1004 0.2500 0.6485
I 0.1365 0.0723 0.2335
I 0.1365 0.4277 0.2335
I 0.2037 0.7500 0.4730
I 0.2963 0.2500 0.9730
I 0.3635 0.5723 0.7335
I 0.3635 0.9277 0.7335
I 0.3996 0.7500 0.1485
I 0.4070 0.2500 0.4761
I 0.5930 0.7500 0.5239
I 0.6004 0.2500 0.8515
I 0.6365 0.0723 0.2665
I 0.6365 0.4277 0.2665
I 0.7037 0.7500 0.0270
I 0.7963 0.2500 0.5270
I 0.8635 0.5723 0.7665
I 0.8635 0.9277 0.7665
I 0.8996 0.7500 0.3515
I 0.9070 0.2500 0.0239

(5)
Starting from the PBE geometry in Alexandria, the PXRD pattern of TlFe2I7 was calculated for Cu Kα (λ = 1.5418 Å).

Peak list (6 most intense, 2θ from 10° to 90°, most intense first)
24.1 deg, rel. 100; 29.1 deg, rel. 99; 10.7 deg, rel. 99; 33.9 deg, rel. 80; 30.5 deg, rel. 78; 43.6 deg, rel. 56

Crystal structure
Unit cell a=10.0751 b=4.3300 c=11.8784 alpha=90.00 beta=99.06 gamma=90.00
Fractional positions:
Tl 0.0000 0.0000 0.0000
Fe 0.3216 0.5000 0.2134
Fe 0.6784 0.5000 0.7866
I 0.0000 0.5000 0.5000
I 0.0829 0.5000 0.2636
I 0.2800 0.5000 0.9945
I 0.4555 0.0000 0.2944
I 0.5445 0.0000 0.7056
I 0.7200 0.5000 0.0055
I 0.9171 0.5000 0.7364

(6)
Starting from the PBE geometry in Alexandria, the PXRD pattern of Tl2Fe3I9 was calculated for Cu Kα (λ = 1.5418 Å).

Peak list (6 most intense, 2θ from 10° to 90°, most intense first)
15.3 deg, rel. 100; 24.6 deg, rel. 84; 20.7 deg, rel. 77; 29.7 deg, rel. 75; 30.8 deg, rel. 50; 39.7 deg, rel. 35

Crystal structure
Unit cell a=10.4170 b=10.4170 c=15.1322 alpha=90.00 beta=90.00 gamma=120.00
Fractional positions:
Tl 0.3333 0.6667 0.0042
Tl 0.3333 0.6667 0.4958
Tl 0.6667 0.3333 0.5042
Tl 0.6667 0.3333 0.9958
Fe 0.0056 0.7525 0.7500
Fe 0.2475 0.2531 0.7500
Fe 0.2531 0.0056 0.2500
Fe 0.7469 0.9944 0.7500
Fe 0.7525 0.7469 0.2500
Fe 0.9944 0.2475 0.2500
I 0.0055 0.7507 0.2500
I 0.0068 0.6170 0.6074
I 0.0068 0.6170 0.8926
I 0.2493 0.2548 0.2500
I 0.2548 0.0055 0.7500
I 0.3830 0.3898 0.6074
I 0.3830 0.3898 0.8926
I 0.3898 0.0068 0.1074
I 0.3898 0.0068 0.3926
I 0.6102 0.9932 0.6074
I 0.6102 0.9932 0.8926
I 0.6170 0.6102 0.1074
I 0.6170 0.6102 0.3926
I 0.7452 0.9945 0.2500
I 0.7507 0.7452 0.7500
I 0.9932 0.3830 0.1074
I 0.9932 0.3830 0.3926
I 0.9945 0.2493 0.7500